No. 1
Ba2FeS3: calculated PXRD pattern (CuKα), based on a crystal structure in the Materials Project, relaxed with GGA-PBE.

Cell and atoms:
```
24
Lattice="12.1805 0.0000 0.0000 0.0000 4.1725 0.0000 0.0000 0.0000 12.1000" Properties=species:S:1:pos:R:3 pbc="T T T"
Ba 0.1505 1.0431 2.0639
Ba 2.1288 1.0431 6.2878
Ba 3.9614 3.1294 0.2378
Ba 5.9397 3.1294 8.1139
Ba 6.2408 1.0431 3.9861
Ba 8.2191 1.0431 11.8622
Ba 10.0517 3.1294 5.8122
Ba 12.0300 3.1294 10.0361
Fe 2.9856 3.1294 3.6244
Fe 3.1047 1.0431 9.6744
Fe 9.0758 3.1294 2.4256
Fe 9.1950 1.0431 8.4756
S 0.8406 3.1294 4.3015
S 1.7382 1.0431 11.4374
S 2.8531 3.1294 8.9191
S 3.2371 1.0431 2.8691
S 4.3520 3.1294 5.3874
S 5.2497 1.0431 10.3515
S 6.9308 3.1294 1.7485
S 7.8285 1.0431 6.7126
S 8.9434 3.1294 9.2309
S 9.3274 1.0431 3.1809
S 10.4423 3.1294 0.6626
S 11.3400 1.0431 7.7985
```

Top 8 peaks for 2θ = 10–80°, most intense first:
- 26.95 deg, rel. 1000, (1 1 2)
- 31.71 deg, rel. 572, (1 1 3)
- 43.38 deg, rel. 487, (0 2 0)
- 23.11 deg, rel. 481, (3 0 1)
- 23.23 deg, rel. 397, (1 0 3)
- 29.86 deg, rel. 366, (2 1 2)
- 32.93 deg, rel. 342, (4 0 2)
- 33.06 deg, rel. 287, (2 0 4)

No. 2
Ba2FeSbS5: calculated PXRD pattern (CuKα), based on a crystal structure in the Materials Project, relaxed with GGA-PBE.

Cell and atoms:
```
36
Lattice="12.2148 0.0000 0.0000 0.0000 8.9133 0.0000 0.0000 0.0000 9.0489" Properties=species:S:1:pos:R:3 pbc="T T T"
Ba 2.1550 0.0654 1.1068
Ba 2.1550 4.3913 1.1068
Ba 3.9524 4.5220 5.6313
Ba 3.9524 8.8479 5.6313
Ba 8.2624 0.0654 3.4176
Ba 8.2624 4.3913 3.4176
Ba 10.0598 4.5220 7.9420
Ba 10.0598 8.8479 7.9420
Fe 1.1594 6.6850 7.4861
Fe 4.9480 2.2283 2.9616
Fe 7.2668 6.6850 6.0872
Fe 11.0554 2.2283 1.5628
Sb 0.2726 6.6850 4.3750
Sb 5.8348 2.2283 8.8994
Sb 6.3801 6.6850 0.1495
Sb 11.9422 2.2283 4.6739
S 0.0701 2.2283 8.7773
S 0.6654 4.9014 6.1463
S 0.6654 8.4685 6.1463
S 2.5621 6.6850 3.4750
S 2.7803 2.2283 3.4863
S 3.3271 6.6850 8.0107
S 3.5453 2.2283 7.9994
S 5.4420 0.4448 1.6219
S 5.4420 4.0118 1.6219
S 6.0373 6.6850 4.2529
S 6.1775 2.2283 4.7960
S 6.7728 4.9014 7.4270
S 6.7728 8.4685 7.4270
S 8.6695 6.6850 1.0494
S 8.8877 2.2283 1.0381
S 9.4345 6.6850 5.5625
S 9.6527 2.2283 5.5739
S 11.5494 0.4448 2.9026
S 11.5494 4.0118 2.9026
S 12.1447 6.6850 0.2716
```

Top 8 peaks for 2θ = 10–80°, most intense first:
- 29.06 deg, rel. 1000, (1 2 2)
- 23.97 deg, rel. 438, (3 0 1)
- 30.91 deg, rel. 364, (4 0 1)
- 24.73 deg, rel. 311, (2 2 0)
- 40.48 deg, rel. 259, (0 4 0)
- 23.41 deg, rel. 251, (1 2 1)
- 42.46 deg, rel. 237, (3 2 3)
- 43.41 deg, rel. 224, (5 2 1)

No. 3
Ba12FeSi3S20: calculated PXRD pattern (CuKα), based on a crystal structure in the Materials Project, relaxed with GGA-PBE.

Cell and atoms:
```
36
Lattice="8.6389 0.0000 0.0000 0.0000 9.5693 0.0000 -0.1260 0.0000 12.1242" Properties=species:S:1:pos:R:3 pbc="T T T"
Ba 0.0000 0.0000 0.0000
Ba 0.1328 2.6131 3.6920
Ba 0.1328 6.9562 3.6920
Ba 1.5019 2.1937 8.1052
Ba 1.5019 7.3756 8.1052
Ba 1.6377 4.7847 11.7446
Ba 4.1683 4.7847 5.6529
Ba 4.4174 2.2142 1.9700
Ba 4.4174 7.3552 1.9700
Ba 5.7493 2.5862 9.7510
Ba 5.7493 6.9831 9.7510
Ba 6.0383 0.0000 6.1020
Fe 3.4491 0.0000 10.7444
Si 2.4399 0.0000 4.6637
Si 6.8059 4.7847 1.0331
Si 7.7802 4.7847 7.0927
S 0.6435 0.0000 5.7907
S 0.9404 4.7847 5.9753
S 2.0525 0.0000 2.5603
S 2.3493 4.7847 2.6805
S 2.3982 1.8575 11.2392
S 2.3982 7.7118 11.2392
S 3.4888 1.7734 5.1398
S 3.4888 7.7959 5.1398
S 3.5733 4.7847 8.6983
S 3.9482 0.0000 8.5837
S 4.9005 4.7847 12.0150
S 5.2675 0.0000 11.9316
S 6.3846 4.7847 3.1336
S 6.6356 0.0000 2.9770
S 6.7340 3.0121 6.5920
S 6.7340 6.5572 6.5920
S 7.8532 3.0056 0.5583
S 7.8532 6.5637 0.5583
S 7.8774 0.0000 9.1067
S 8.1580 4.7847 9.1951
```

Top 8 peaks for 2θ = 10–80°, most intense first:
- 23.69 deg, rel. 1000, (0 2 2)
- 28.75 deg, rel. 625, (2 2 -1)
- 28.86 deg, rel. 615, (2 2 1)
- 22.47 deg, rel. 593, (1 2 1)
- 31.42 deg, rel. 541, (1 0 4)
- 24.22 deg, rel. 529, (1 0 -3)
- 24.41 deg, rel. 527, (1 0 3)
- 37.60 deg, rel. 504, (0 4 0)